No. 1
Starting from the GGA-PBE geometry in Alexandria, the powder XRD pattern of Ce2PmDyPb4 was calculated for Cu Kα (weighted mean of Kα1 and Kα2).
Kinematic intensities with the Lorentz-polarization factor, no thermal factor.

Principal peaks in the range 10° ≤ 2θ ≤ 90°, sorted by position:
two_theta  Rel. int.
30.04  100
34.47  70
46.36  31
50.32  24
59.04  30
61.76  13
62.43  13
73.31  16
80.60  13
81.80  12

Cell and atoms:
abc: 10.982 10.982 10.982
angles: 27.41 27.41 27.41
Fractional coordinates of all 8 atoms:
Ce (0.248, 0.248, 0.248)
Ce (0.752, 0.752, 0.752)
Pm (0.000, 0.000, 0.000)
Dy (0.500, 0.500, 0.500)
Pb (0.127, 0.127, 0.127)
Pb (0.376, 0.376, 0.376)
Pb (0.624, 0.624, 0.624)
Pb (0.873, 0.873, 0.873)

---

No. 2
Starting from the GGA-PBE geometry in Alexandria, the powder XRD pattern of CeDyPtPb was calculated for Cu Kα (weighted mean of Kα1 and Kα2).
Kinematic intensities with the Lorentz-polarization factor, no thermal factor.

Principal peaks in the range 10° ≤ 2θ ≤ 90°, sorted by position:
two_theta  Rel. int.
23.91  2
34.07  100
42.06  1
48.96  18
55.19  1
60.99  38
71.74  12
76.85  1
81.86  17

Cell and atoms:
abc: 7.442 7.442 7.442
angles: 90.00 90.00 90.00
Fractional coordinates of all 16 atoms:
Ce (0.000, 0.000, 0.000)
Ce (0.000, 0.500, 0.500)
Ce (0.500, 0.000, 0.500)
Ce (0.500, 0.500, 0.000)
Dy (0.000, 0.000, 0.500)
Dy (0.000, 0.500, 0.000)
Dy (0.500, 0.000, 0.000)
Dy (0.500, 0.500, 0.500)
Pt (0.250, 0.250, 0.750)
Pt (0.250, 0.750, 0.250)
Pt (0.750, 0.250, 0.250)
Pt (0.750, 0.750, 0.750)
Pb (0.250, 0.250, 0.250)
Pb (0.250, 0.750, 0.750)
Pb (0.750, 0.250, 0.750)
Pb (0.750, 0.750, 0.250)

---

No. 3
Starting from the GGA-PBE geometry in Alexandria, the powder XRD pattern of CeDyTlPb was calculated for Cu Kα (weighted mean of Kα1 and Kα2).
Kinematic intensities with the Lorentz-polarization factor, no thermal factor.

Principal peaks in the range 10° ≤ 2θ ≤ 90°, sorted by position:
two_theta  Rel. int.
32.05  100
35.47  38
40.42  13
51.03  14
54.84  22
61.55  32
67.03  12
68.27  12
83.95  7
85.86  6

Cell and atoms:
abc: 5.062 5.062 8.927
angles: 90.00 90.00 90.00
Fractional coordinates of all 8 atoms:
Ce (0.000, 0.000, 0.000)
Ce (0.500, 0.500, 0.500)
Dy (0.000, 0.000, 0.500)
Dy (0.500, 0.500, 0.000)
Tl (0.000, 0.500, 0.750)
Tl (0.500, 0.000, 0.250)
Pb (0.000, 0.500, 0.250)
Pb (0.500, 0.000, 0.750)

---

No. 4
Starting from the GGA-PBE geometry in Alexandria, the powder XRD pattern of CePm6Dy10 was calculated for Cu Kα (weighted mean of Kα1 and Kα2).
Kinematic intensities with the Lorentz-polarization factor, no thermal factor.

Principal peaks in the range 10° ≤ 2θ ≤ 90°, sorted by position:
two_theta  Rel. int.
31.01  52
31.84  100
31.97  73
40.89  12
45.75  24
49.09  14
56.66  16
56.91  20
59.79  9
63.09  11

Cell and atoms:
abc: 9.698 9.698 6.896
angles: 90.00 90.00 120.00
Fractional coordinates of all 17 atoms:
Ce (0.000, 0.000, 0.000)
Pm (0.000, 0.379, 0.799)
Pm (0.000, 0.621, 0.201)
Pm (0.379, 0.000, 0.799)
Pm (0.379, 0.379, 0.201)
Pm (0.621, 0.000, 0.201)
Pm (0.621, 0.621, 0.799)
Dy (0.000, 0.271, 0.316)
Dy (0.000, 0.729, 0.684)
Dy (0.271, 0.000, 0.316)
Dy (0.271, 0.271, 0.684)
Dy (0.333, 0.667, 0.000)
Dy (0.333, 0.667, 0.500)
Dy (0.667, 0.333, 0.000)
Dy (0.667, 0.333, 0.500)
Dy (0.729, 0.000, 0.684)
Dy (0.729, 0.729, 0.316)